This entry pairs a crystal structure of La2Np3Se8 with its computed powder diffractogram. Radiation: Cu Kα. Structure: a crystal structure in Alexandria, relaxed with PBE.

Atomic structure:
a b c (Å): 9.9783 14.3851 4.9839
angles (deg): 90.00 90.00 90.00
Space group Cmmm (No. 65)
One atom of each set of equivalent atoms:
La 0.0000 0.2316 0.0000 [4 per cell]
Np 0.0000 0.5000 0.0000 [2 per cell]
Np 0.2340 0.0000 0.5000 [4 per cell]
Se 0.0000 0.1201 0.5000 [4 per cell]
Se 0.0000 0.3865 0.5000 [4 per cell]
Se 0.2370 0.3811 0.0000 [8 per cell]

Top 10 peaks for 2θ = 5–70°, low angle first:
10.8 deg, d = 8.199 Å, I 10.5
12.3 deg, d = 7.193 Å, I 29.2
20.9 deg, d = 4.259 Å, I 10.7
21.7 deg, d = 4.098 Å, I 35.5
35.7 deg, d = 2.518 Å, I 100.0
36.0 deg, d = 2.493 Å, I 50.4
42.4 deg, d = 2.130 Å, I 11.6
51.9 deg, d = 1.763 Å, I 17.2
63.8 deg, d = 1.458 Å, I 15.6
64.5 deg, d = 1.444 Å, I 33.4